# 1
This entry pairs a crystal structure of Cd6MoO8 with its calculated powder X-ray diffraction pattern. Radiation: Cu Ka. Structure: the PBE+U geometry in Alexandria.

Structure:
```
data_Cd6MoO8
_chemical_formula_sum 'Cd6 Mo1 O8'
_symmetry_space_group_name_H-M 'P 1'
_symmetry_Int_Tables_number 1
_cell_length_a 6.731
_cell_length_b 6.731
_cell_length_c 6.731
_cell_angle_alpha 60.00
_cell_angle_beta 60.00
_cell_angle_gamma 60.00
loop_
_symmetry_equiv_pos_as_xyz
'x,y,z'
loop_
_atom_site_label
_atom_site_type_symbol
_atom_site_fract_x
_atom_site_fract_y
_atom_site_fract_z
Cd1 Cd 0.000 0.000 0.500
Cd2 Cd 0.000 0.500 0.000
Cd3 Cd 0.000 0.500 0.500
Cd4 Cd 0.500 0.000 0.000
Cd5 Cd 0.500 0.000 0.500
Cd6 Cd 0.500 0.500 0.000
Mo1 Mo 0.000 0.000 0.000
O1 O 0.219 0.219 0.781
O2 O 0.219 0.781 0.219
O3 O 0.219 0.781 0.781
O4 O 0.250 0.250 0.250
O5 O 0.750 0.750 0.750
O6 O 0.781 0.219 0.219
O7 O 0.781 0.219 0.781
O8 O 0.781 0.781 0.219
```

The 12 most intense peaks (2θ from 10° to 90°), by angle:
16.13 deg, d = 5.496 Å, rel. 18.8
18.64 deg, d = 4.759 Å, rel. 11.3
26.48 deg, d = 3.365 Å, rel. 9.4
31.16 deg, d = 2.870 Å, rel. 6.7
32.59 deg, d = 2.748 Å, rel. 100.0
37.80 deg, d = 2.380 Å, rel. 94.6
42.47 deg, d = 2.128 Å, rel. 6.3
54.53 deg, d = 1.683 Å, rel. 59.5
64.99 deg, d = 1.435 Å, rel. 43.1
68.26 deg, d = 1.374 Å, rel. 18.9
80.77 deg, d = 1.190 Å, rel. 8.7
89.83 deg, d = 1.092 Å, rel. 19.8

***

# 2
This entry pairs a crystal structure of Cd2MoO5 with its calculated powder X-ray diffraction pattern. Radiation: Cu Ka. Structure: the PBE+U geometry in Alexandria.

Structure:
```
data_Cd2MoO5
_chemical_formula_sum 'Cd4 Mo2 O10'
_symmetry_space_group_name_H-M 'P 1'
_symmetry_Int_Tables_number 1
_cell_length_a 6.348
_cell_length_b 6.348
_cell_length_c 7.750
_cell_angle_alpha 110.18
_cell_angle_beta 110.18
_cell_angle_gamma 49.93
loop_
_symmetry_equiv_pos_as_xyz
'x,y,z'
loop_
_atom_site_label
_atom_site_type_symbol
_atom_site_fract_x
_atom_site_fract_y
_atom_site_fract_z
Cd1 Cd 0.001 0.999 0.500
Cd2 Cd 0.291 0.314 0.566
Cd3 Cd 0.314 0.291 0.066
Cd4 Cd 0.999 0.001 0.000
Mo1 Mo 0.639 0.674 0.261
Mo2 Mo 0.674 0.639 0.761
O1 O 0.028 0.462 0.271
O2 O 0.282 0.879 0.323
O3 O 0.345 0.652 0.665
O4 O 0.462 0.028 0.771
O5 O 0.504 0.811 0.039
O6 O 0.652 0.345 0.165
O7 O 0.654 0.980 0.422
O8 O 0.811 0.504 0.539
O9 O 0.879 0.282 0.823
O10 O 0.980 0.654 0.922
```

The 12 most intense peaks (2θ from 10° to 90°), by angle:
28.45 deg, d = 3.138 Å, rel. 100.0
30.21 deg, d = 2.958 Å, rel. 95.1
33.45 deg, d = 2.679 Å, rel. 52.6
33.70 deg, d = 2.659 Å, rel. 13.7
35.11 deg, d = 2.556 Å, rel. 17.8
48.02 deg, d = 1.894 Å, rel. 31.9
49.28 deg, d = 1.849 Å, rel. 18.0
55.72 deg, d = 1.650 Å, rel. 11.0
56.76 deg, d = 1.622 Å, rel. 13.5
57.79 deg, d = 1.595 Å, rel. 15.8
58.82 deg, d = 1.570 Å, rel. 20.0
79.26 deg, d = 1.209 Å, rel. 13.5

***

# 3
This entry pairs a crystal structure of CdMoO4 with its calculated powder X-ray diffraction pattern. Radiation: Cu Ka. Structure: the PBE+U geometry in Alexandria.

Structure:
```
data_CdMoO4
_chemical_formula_sum 'Cd2 Mo2 O8'
_symmetry_space_group_name_H-M 'P 1'
_symmetry_Int_Tables_number 1
_cell_length_a 6.810
_cell_length_b 6.810
_cell_length_c 6.810
_cell_angle_alpha 134.66
_cell_angle_beta 134.66
_cell_angle_gamma 66.06
loop_
_symmetry_equiv_pos_as_xyz
'x,y,z'
loop_
_atom_site_label
_atom_site_type_symbol
_atom_site_fract_x
_atom_site_fract_y
_atom_site_fract_z
Cd1 Cd 0.375 0.125 0.250
Cd2 Cd 0.625 0.875 0.750
Mo1 Mo 0.125 0.375 0.750
Mo2 Mo 0.875 0.625 0.250
O1 O 0.055 0.217 0.349
O2 O 0.205 0.555 0.337
O3 O 0.283 0.132 0.837
O4 O 0.368 0.705 0.151
O5 O 0.632 0.295 0.849
O6 O 0.717 0.868 0.163
O7 O 0.795 0.445 0.663
O8 O 0.945 0.783 0.651
```

The 12 most intense peaks (2θ from 10° to 90°), by angle:
28.69 deg, d = 3.112 Å, rel. 100.0
31.33 deg, d = 2.855 Å, rel. 13.2
34.16 deg, d = 2.625 Å, rel. 19.0
47.03 deg, d = 1.932 Å, rel. 30.3
49.09 deg, d = 1.856 Å, rel. 13.2
54.16 deg, d = 1.694 Å, rel. 15.7
57.85 deg, d = 1.594 Å, rel. 25.6
59.40 deg, d = 1.556 Å, rel. 10.8
75.87 deg, d = 1.254 Å, rel. 6.4
76.08 deg, d = 1.251 Å, rel. 11.8
79.22 deg, d = 1.209 Å, rel. 5.3
82.11 deg, d = 1.174 Å, rel. 5.0

***

# 4
This entry pairs a crystal structure of CdMoPO6 with its calculated powder X-ray diffraction pattern. Radiation: Cu Ka. Structure: the PBE+U geometry in Alexandria.

Structure:
```
data_CdMoPO6
_chemical_formula_sum 'Cd4 Mo4 P4 O24'
_symmetry_space_group_name_H-M 'P 1'
_symmetry_Int_Tables_number 1
_cell_length_a 4.991
_cell_length_b 8.675
_cell_length_c 11.832
_cell_angle_alpha 90.00
_cell_angle_beta 109.06
_cell_angle_gamma 90.00
loop_
_symmetry_equiv_pos_as_xyz
'x,y,z'
loop_
_atom_site_label
_atom_site_type_symbol
_atom_site_fract_x
_atom_site_fract_y
_atom_site_fract_z
Cd1 Cd 0.172 0.172 0.076
Cd2 Cd 0.172 0.328 0.576
Cd3 Cd 0.828 0.672 0.424
Cd4 Cd 0.828 0.828 0.924
Mo1 Mo 0.488 0.091 0.386
Mo2 Mo 0.488 0.409 0.886
Mo3 Mo 0.512 0.591 0.114
Mo4 Mo 0.512 0.909 0.614
P1 P 0.183 0.055 0.791
P2 P 0.183 0.445 0.291
P3 P 0.817 0.555 0.709
P4 P 0.817 0.945 0.209
O1 O 0.089 0.517 0.810
O2 O 0.089 0.983 0.310
O3 O 0.159 0.017 0.915
O4 O 0.159 0.483 0.415
O5 O 0.222 0.714 0.061
O6 O 0.222 0.786 0.561
O7 O 0.240 0.230 0.777
O8 O 0.240 0.270 0.277
O9 O 0.373 0.109 0.535
O10 O 0.373 0.391 0.035
O11 O 0.441 0.539 0.277
O12 O 0.441 0.961 0.777
O13 O 0.559 0.039 0.223
O14 O 0.559 0.461 0.723
O15 O 0.627 0.609 0.965
O16 O 0.627 0.891 0.465
O17 O 0.760 0.730 0.723
O18 O 0.760 0.770 0.223
O19 O 0.778 0.214 0.439
O20 O 0.778 0.286 0.939
O21 O 0.841 0.517 0.585
O22 O 0.841 0.983 0.085
O23 O 0.911 0.017 0.690
O24 O 0.911 0.483 0.190
```

The 12 most intense peaks (2θ from 10° to 90°), by angle:
20.61 deg, d = 4.310 Å, rel. 63.5
21.44 deg, d = 4.144 Å, rel. 100.0
21.98 deg, d = 4.044 Å, rel. 48.4
24.97 deg, d = 3.567 Å, rel. 65.5
27.30 deg, d = 3.267 Å, rel. 76.2
28.98 deg, d = 3.081 Å, rel. 47.9
30.31 deg, d = 2.949 Å, rel. 39.4
31.42 deg, d = 2.847 Å, rel. 71.1
31.65 deg, d = 2.827 Å, rel. 92.2
37.72 deg, d = 2.385 Å, rel. 33.0
47.96 deg, d = 1.897 Å, rel. 33.7
58.67 deg, d = 1.574 Å, rel. 35.4

***

# 5
This entry pairs a crystal structure of CdMo2PbO8 with its calculated powder X-ray diffraction pattern. Radiation: Cu Ka. Structure: the PBE+U geometry in Alexandria.

Structure:
```
data_CdMo2PbO8
_chemical_formula_sum 'Cd1 Mo2 Pb1 O8'
_symmetry_space_group_name_H-M 'P 1'
_symmetry_Int_Tables_number 1
_cell_length_a 6.361
_cell_length_b 6.361
_cell_length_c 6.361
_cell_angle_alpha 107.07
_cell_angle_beta 107.07
_cell_angle_gamma 114.39
loop_
_symmetry_equiv_pos_as_xyz
'x,y,z'
loop_
_atom_site_label
_atom_site_type_symbol
_atom_site_fract_x
_atom_site_fract_y
_atom_site_fract_z
Cd1 Cd 0.000 0.000 0.000
Mo1 Mo 0.250 0.750 0.500
Mo2 Mo 0.500 0.500 0.000
Pb1 Pb 0.750 0.250 0.500
O1 O 0.093 0.402 0.308
O2 O 0.093 0.785 0.692
O3 O 0.152 0.338 0.815
O4 O 0.215 0.907 0.308
O5 O 0.523 0.338 0.185
O6 O 0.598 0.907 0.692
O7 O 0.662 0.477 0.815
O8 O 0.662 0.848 0.185
```

The 12 most intense peaks (2θ from 10° to 90°), by angle:
23.53 deg, d = 3.781 Å, rel. 100.0
30.87 deg, d = 2.896 Å, rel. 85.5
33.52 deg, d = 2.673 Å, rel. 24.8
46.21 deg, d = 1.964 Å, rel. 63.9
48.14 deg, d = 1.890 Å, rel. 16.8
54.26 deg, d = 1.691 Å, rel. 16.0
58.29 deg, d = 1.583 Å, rel. 17.6
58.91 deg, d = 1.568 Å, rel. 14.0
64.33 deg, d = 1.448 Å, rel. 13.3
68.94 deg, d = 1.362 Å, rel. 16.3
78.87 deg, d = 1.214 Å, rel. 12.6
79.41 deg, d = 1.207 Å, rel. 13.4

***

# 6
This entry pairs a crystal structure of CdMoPtO6 with its calculated powder X-ray diffraction pattern. Radiation: Cu Ka. Structure: the PBE+U geometry in Alexandria.

Structure:
```
data_CdMoPtO6
_chemical_formula_sum 'Cd2 Mo2 Pt2 O12'
_symmetry_space_group_name_H-M 'P 1'
_symmetry_Int_Tables_number 1
_cell_length_a 4.825
_cell_length_b 4.825
_cell_length_c 9.570
_cell_angle_alpha 90.00
_cell_angle_beta 90.00
_cell_angle_gamma 90.00
loop_
_symmetry_equiv_pos_as_xyz
'x,y,z'
loop_
_atom_site_label
_atom_site_type_symbol
_atom_site_fract_x
_atom_site_fract_y
_atom_site_fract_z
Cd1 Cd 0.000 0.000 0.000
Cd2 Cd 0.500 0.500 0.500
Mo1 Mo 0.000 0.000 0.672
Mo2 Mo 0.500 0.500 0.172
Pt1 Pt 0.000 0.000 0.332
Pt2 Pt 0.500 0.500 0.832
O1 O 0.173 0.173 0.505
O2 O 0.207 0.207 0.809
O3 O 0.211 0.211 0.180
O4 O 0.289 0.711 0.680
O5 O 0.293 0.707 0.309
O6 O 0.327 0.673 0.005
O7 O 0.673 0.327 0.005
O8 O 0.707 0.293 0.309
O9 O 0.711 0.289 0.680
O10 O 0.789 0.789 0.180
O11 O 0.793 0.793 0.809
O12 O 0.827 0.827 0.505
```

The 12 most intense peaks (2θ from 10° to 90°), by angle:
20.61 deg, d = 4.309 Å, rel. 14.1
26.12 deg, d = 3.412 Å, rel. 100.0
33.68 deg, d = 2.661 Å, rel. 82.4
37.27 deg, d = 2.413 Å, rel. 24.4
51.10 deg, d = 1.787 Å, rel. 64.7
53.73 deg, d = 1.706 Å, rel. 16.1
60.69 deg, d = 1.526 Å, rel. 15.7
64.49 deg, d = 1.445 Å, rel. 14.9
64.93 deg, d = 1.436 Å, rel. 18.6
77.32 deg, d = 1.234 Å, rel. 14.1
88.73 deg, d = 1.103 Å, rel. 11.6
89.12 deg, d = 1.099 Å, rel. 12.5

***

# 7
This entry pairs a crystal structure of Cd2MoRuO6 with its calculated powder X-ray diffraction pattern. Radiation: Cu Ka. Structure: the PBE+U geometry in Alexandria.

Structure:
```
data_Cd2MoRuO6
_chemical_formula_sum 'Cd2 Mo1 Ru1 O6'
_symmetry_space_group_name_H-M 'P 1'
_symmetry_Int_Tables_number 1
_cell_length_a 5.530
_cell_length_b 5.530
_cell_length_c 4.103
_cell_angle_alpha 90.00
_cell_angle_beta 90.00
_cell_angle_gamma 90.00
loop_
_symmetry_equiv_pos_as_xyz
'x,y,z'
loop_
_atom_site_label
_atom_site_type_symbol
_atom_site_fract_x
_atom_site_fract_y
_atom_site_fract_z
Cd1 Cd 0.000 0.500 0.000
Cd2 Cd 0.500 0.000 0.000
Mo1 Mo 0.000 0.000 0.503
Ru1 Ru 0.500 0.500 0.503
O1 O 0.000 0.000 0.003
O2 O 0.251 0.251 0.504
O3 O 0.251 0.749 0.504
O4 O 0.500 0.500 0.004
O5 O 0.749 0.251 0.504
O6 O 0.749 0.749 0.504
```

The 12 most intense peaks (2θ from 10° to 90°), by angle:
31.61 deg, d = 2.831 Å, rel. 100.0
32.38 deg, d = 2.765 Å, rel. 46.9
44.15 deg, d = 2.052 Å, rel. 16.9
46.45 deg, d = 1.955 Å, rel. 28.9
55.80 deg, d = 1.648 Å, rel. 19.5
57.27 deg, d = 1.609 Å, rel. 36.0
66.01 deg, d = 1.415 Å, rel. 18.4
67.79 deg, d = 1.382 Å, rel. 8.5
73.33 deg, d = 1.291 Å, rel. 8.6
76.72 deg, d = 1.242 Å, rel. 7.6
77.14 deg, d = 1.237 Å, rel. 7.5
84.51 deg, d = 1.146 Å, rel. 9.1

***

# 8
This entry pairs a crystal structure of CdTeMoO6 with its calculated powder X-ray diffraction pattern. Radiation: Cu Ka. Structure: the PBE+U geometry in Alexandria.

Structure:
```
data_CdTeMoO6
_chemical_formula_sum 'Cd2 Te2 Mo2 O12'
_symmetry_space_group_name_H-M 'P 1'
_symmetry_Int_Tables_number 1
_cell_length_a 5.361
_cell_length_b 5.361
_cell_length_c 9.388
_cell_angle_alpha 90.00
_cell_angle_beta 90.00
_cell_angle_gamma 90.00
loop_
_symmetry_equiv_pos_as_xyz
'x,y,z'
loop_
_atom_site_label
_atom_site_type_symbol
_atom_site_fract_x
_atom_site_fract_y
_atom_site_fract_z
Cd1 Cd 0.000 0.000 0.000
Cd2 Cd 0.500 0.500 0.000
Te1 Te 0.000 0.500 0.254
Te2 Te 0.500 0.000 0.746
Mo1 Mo 0.000 0.500 0.688
Mo2 Mo 0.500 0.000 0.312
O1 O 0.182 0.682 0.576
O2 O 0.192 0.308 0.121
O3 O 0.219 0.281 0.787
O4 O 0.281 0.781 0.213
O5 O 0.308 0.808 0.879
O6 O 0.318 0.182 0.424
O7 O 0.682 0.818 0.424
O8 O 0.692 0.192 0.879
O9 O 0.719 0.219 0.213
O10 O 0.781 0.719 0.787
O11 O 0.808 0.692 0.121
O12 O 0.818 0.318 0.576
```

The 12 most intense peaks (2θ from 10° to 90°), by angle:
23.47 deg, d = 3.791 Å, rel. 14.6
25.22 deg, d = 3.532 Å, rel. 12.1
25.34 deg, d = 3.515 Å, rel. 41.8
28.52 deg, d = 3.129 Å, rel. 8.5
30.31 deg, d = 2.949 Å, rel. 100.0
33.43 deg, d = 2.680 Å, rel. 27.3
44.51 deg, d = 2.036 Å, rel. 22.8
48.00 deg, d = 1.895 Å, rel. 22.3
51.77 deg, d = 1.766 Å, rel. 14.6
54.54 deg, d = 1.683 Å, rel. 9.5
55.05 deg, d = 1.668 Å, rel. 8.9
57.83 deg, d = 1.594 Å, rel. 32.0